(1)
Diffraction record for ScB2. The powder diffractogram is calculated, not measured: it uses a crystal structure in the Materials Project, relaxed with GGA-PBE and Cu Kα (λ = 1.5418 Å).
Neutral-atom scattering factors, no anomalous dispersion.

Cell and atoms:
a b c (Å): 3.1457 3.1457 3.5242
angles (deg): 90.00 90.00 120.00
Space group P6/mmm (No. 191)
Asymmetric unit:
Sc (0.0000, 0.0000, 0.0000) (multiplicity 1)
B (0.3333, 0.6667, 0.5000) (multiplicity 2)

Principal peaks in the range 10 to 90 degrees two-theta, sorted by position:
2θ/deg	d_spacing	I/Imax	(hkl)
25.27	3.524	18	0 0 1
32.88	2.724	50	1 0 0
41.91	2.155	100	1 0 1
51.89	1.762	11	0 0 2
58.70	1.573	21	1 1 0
62.80	1.480	14	1 0 2
74.71	1.271	15	2 0 1
82.14	1.173	15	1 1 2

=====

(2)
Diffraction record for NaCd2Pt. The powder diffractogram is calculated, not measured: it uses a crystal structure in the Materials Project, relaxed with GGA-PBE and Cu Kα (λ = 1.5418 Å).
Neutral-atom scattering factors, no anomalous dispersion.

Cell and atoms:
a b c (Å): 6.7798 6.7798 6.7798
angles (deg): 90.00 90.00 90.00
Space group Fm-3m (No. 225)
Asymmetric unit:
Na (0.0000, 0.0000, 0.0000) (multiplicity 4)
Cd (0.2500, 0.2500, 0.2500) (multiplicity 8)
Pt (0.0000, 0.0000, 0.5000) (multiplicity 4)

Principal peaks in the range 10 to 90 degrees two-theta, sorted by position:
2θ/deg	d_spacing	I/Imax	(hkl)
22.72	3.914	33	1 1 1
37.52	2.397	100	2 2 0
44.31	2.044	18	3 1 1
54.11	1.695	17	4 0 0
59.42	1.555	8	3 3 1
67.70	1.384	34	4 2 2
80.07	1.199	11	4 4 0
84.55	1.146	6	5 3 1

=====

(3)
Diffraction record for TiAu. The powder diffractogram is calculated, not measured: it uses a crystal structure in the Materials Project, relaxed with GGA-PBE and Cu Kα (λ = 1.5418 Å).
Neutral-atom scattering factors, no anomalous dispersion.

Cell and atoms:
a b c (Å): 3.2789 3.2789 3.2789
angles (deg): 90.00 90.00 90.00
Space group Pm-3m (No. 221)
Asymmetric unit:
Ti (0.0000, 0.0000, 0.0000) (multiplicity 1)
Au (0.5000, 0.5000, 0.5000) (multiplicity 1)

Principal peaks in the range 10 to 90 degrees two-theta, sorted by position:
2θ/deg	d_spacing	I/Imax	(hkl)
27.20	3.279	47	1 0 0
38.84	2.319	100	1 1 0
48.06	1.893	14	1 1 1
56.10	1.639	17	2 0 0
63.43	1.466	19	2 1 0
70.33	1.339	35	2 1 1
83.36	1.159	11	2 2 0
89.71	1.093	11	3 0 0

=====

(4)
Diffraction record for Mg14NbSiO16. The powder diffractogram is calculated, not measured: it uses a crystal structure in the Materials Project, relaxed with GGA-PBE and Cu Kα (λ = 1.5418 Å).
Neutral-atom scattering factors, no anomalous dispersion.

Cell and atoms:
a b c (Å): 4.3028 8.6483 8.6674
angles (deg): 90.00 90.00 90.00
Space group Pmmm (No. 47)
Asymmetric unit:
Mg (0.0000, 0.0000, 0.0000) (multiplicity 1)
Mg (0.0000, 0.2486, 0.2461) (multiplicity 4)
Mg (0.0000, 0.5000, 0.0000) (multiplicity 1)
Mg (0.5000, 0.0000, 0.2463) (multiplicity 2)
Mg (0.5000, 0.2483, 0.5000) (multiplicity 2)
Mg (0.5000, 0.2497, 0.0000) (multiplicity 2)
Mg (0.5000, 0.5000, 0.2460) (multiplicity 2)
Nb (0.0000, 0.5000, 0.5000) (multiplicity 1)
Si (0.0000, 0.0000, 0.5000) (multiplicity 1)
O (0.0000, 0.0000, 0.2349) (multiplicity 2)
O (0.0000, 0.2419, 0.5000) (multiplicity 2)
O (0.0000, 0.2510, 0.0000) (multiplicity 2)
O (0.0000, 0.5000, 0.2376) (multiplicity 2)
O (0.5000, 0.0000, 0.0000) (multiplicity 1)
O (0.5000, 0.0000, 0.5000) (multiplicity 1)
O (0.5000, 0.2499, 0.2510) (multiplicity 4)
O (0.5000, 0.5000, 0.0000) (multiplicity 1)
O (0.5000, 0.5000, 0.5000) (multiplicity 1)

Principal peaks in the range 10 to 90 degrees two-theta, sorted by position:
2θ/deg	d_spacing	I/Imax	(hkl)
10.22	8.658	22	0 0 1
14.47	6.122	11	0 1 1
36.01	2.494	28	1 2 2
41.73	2.164	100	0 4 0
42.00	2.151	49	2 0 0
60.49	1.531	29	0 4 4
60.69	1.526	57	2 4 0
76.36	1.247	26	2 4 4

=====

(5)
Diffraction record for CaPd. The powder diffractogram is calculated, not measured: it uses a crystal structure in the Materials Project, relaxed with GGA-PBE and Cu Kα (λ = 1.5418 Å).
Neutral-atom scattering factors, no anomalous dispersion.

Cell and atoms:
a b c (Å): 3.5291 3.5291 3.5291
angles (deg): 90.00 90.00 90.00
Space group Pm-3m (No. 221)
Asymmetric unit:
Ca (0.0000, 0.0000, 0.0000) (multiplicity 1)
Pd (0.5000, 0.5000, 0.5000) (multiplicity 1)

Principal peaks in the range 10 to 90 degrees two-theta, sorted by position:
2θ/deg	d_spacing	I/Imax	(hkl)
25.24	3.529	24	1 0 0
35.99	2.495	100	1 1 0
44.46	2.038	7	1 1 1
51.81	1.765	17	2 0 0
58.48	1.578	10	2 1 0
64.70	1.441	34	2 1 1
76.32	1.248	10	2 2 0
87.39	1.116	15	3 1 0

=====

What did the first record say?
Diffraction record for ScB2. The powder diffractogram is calculated, not measured: it uses a crystal structure in the Materials Project, relaxed with GGA-PBE and Cu Kα (λ = 1.5418 Å).
Neutral-atom scattering factors, no anomalous dispersion.

Cell and atoms:
a b c (Å): 3.1457 3.1457 3.5242
angles (deg): 90.00 90.00 120.00
Space group P6/mmm (No. 191)
Asymmetric unit:
Sc (0.0000, 0.0000, 0.0000) (multiplicity 1)
B (0.3333, 0.6667, 0.5000) (multiplicity 2)

Principal peaks in the range 10 to 90 degrees two-theta, sorted by position:
2θ/deg	d_spacing	I/Imax	(hkl)
25.27	3.524	18	0 0 1
32.88	2.724	50	1 0 0
41.91	2.155	100	1 0 1
51.89	1.762	11	0 0 2
58.70	1.573	21	1 1 0
62.80	1.480	14	1 0 2
74.71	1.271	15	2 0 1
82.14	1.173	15	1 1 2